Computed X-ray powder pattern
Compound: Y3Tm4
Radiation: Cu Ka
Structure: a DFT-relaxed cell (GGA-PBE, Alexandria)
No peak broadening, texture or thermal motion is included.

Principal peaks in the range 2θ = 5–70°, by angle:
d (Å)	2θ/deg	I (rel.)	hkl
8.244	10.7	12	1 0 0
3.116	28.6	24	1 2 0
2.796	32.0	24	0 0 2
2.722	32.9	100	1 2 1
2.081	43.5	16	1 2 2
1.799	50.7	19	4 1 0
1.600	57.6	20	1 2 3
1.513	61.3	22	4 1 2
1.501	61.8	16	2 4 1
1.361	69.0	4	2 4 2

Cell and atoms:
```
data_Y3Tm4
_chemical_formula_sum 'Y6 Tm8'
_cell_length_a 9.5192
_cell_length_b 9.5192
_cell_length_c 5.5928
_cell_angle_alpha 90.00
_cell_angle_beta 90.00
_cell_angle_gamma 120.00
_space_group_name_H-M_alt 'P 63/m'
_space_group_IT_number 176
_space_group_name_Hall '-P 6c'
loop_
_atom_site_label
_atom_site_fract_x
_atom_site_fract_y
_atom_site_fract_z
Y1 0.0488 0.8078 0.2500
Tm1 0.0956 0.6171 0.7500
Tm2 0.3333 0.6667 0.2500
```

Computed X-ray powder pattern
Compound: Nd4Tm3Th2
Radiation: Cu Ka
Structure: a DFT-relaxed cell (GGA-PBE, Alexandria)
No peak broadening, texture or thermal motion is included.

Principal peaks in the range 2θ = 5–70°, by angle:
d (Å)	2θ/deg	I (rel.)	hkl
3.098	28.8	51	1 0 0
2.996	29.8	52	0 0 9
2.815	31.8	66	1 0 4
2.686	33.4	100	0 1 5
2.550	35.2	15	0 1 6
2.154	42.0	34	0 1 9
1.788	51.1	39	1 1 0
1.636	56.2	32	0 1 14
1.536	60.3	43	1 1 9
1.489	62.4	18	2 0 5

Cell and atoms:
```
data_Nd4Tm3Th2
_chemical_formula_sum 'Nd4 Tm3 Th2'
_cell_length_a 3.5767
_cell_length_b 3.5767
_cell_length_c 26.9656
_cell_angle_alpha 90.00
_cell_angle_beta 90.00
_cell_angle_gamma 120.00
_space_group_name_H-M_alt 'P 3 m 1'
_space_group_IT_number 156
loop_
_space_group_symop_operation_xyz
'x,y,z'
'-y,x-y,z'
'-x+y,-x,z'
'-y,-x,z'
'-x+y,y,z'
'x,x-y,z'
loop_
_atom_site_label
_atom_site_fract_x
_atom_site_fract_y
_atom_site_fract_z
Nd1 0.0000 0.0000 0.0000
Nd2 0.0000 0.0000 0.2130
Nd3 0.3333 0.6667 0.3301
Nd4 0.3333 0.6667 0.5456
Tm1 0.0000 0.0000 0.4367
Tm2 0.3333 0.6667 0.1059
Tm3 0.3333 0.6667 0.7649
Th1 0.0000 0.0000 0.6574
Th2 0.0000 0.0000 0.8709
```

Computed X-ray powder pattern
Compound: K3Tl
Radiation: Cu Ka
Structure: a DFT-relaxed cell (GGA-PBE, Alexandria)
No peak broadening, texture or thermal motion is included.

Principal peaks in the range 2θ = 5–70°, by angle:
d (Å)	2θ/deg	I (rel.)	hkl
13.345	6.6	100	0 0 1
6.673	13.3	21	0 0 2
3.794	23.4	27	1 0 0
3.649	24.4	23	1 0 1
3.298	27.0	68	1 0 2
2.887	31.0	23	1 0 3
2.505	35.8	21	1 0 4
2.190	41.2	14	1 1 0
1.831	49.8	12	1 1 4
1.825	50.0	12	2 0 2

Cell and atoms:
```
data_K3Tl
_chemical_formula_sum 'K3 Tl1'
_cell_length_a 4.3808
_cell_length_b 4.3808
_cell_length_c 13.3454
_cell_angle_alpha 90.00
_cell_angle_beta 90.00
_cell_angle_gamma 120.00
_space_group_name_H-M_alt 'P -6 m 2'
_space_group_IT_number 187
_space_group_name_Hall 'P -6 2'
loop_
_atom_site_label
_atom_site_fract_x
_atom_site_fract_y
_atom_site_fract_z
K1 0.0000 0.0000 0.0000
K2 0.3333 0.6667 0.2963
Tl1 0.0000 0.0000 0.5000
```

Computed X-ray powder pattern
Compound: AlFe2Rh3
Radiation: Cu Ka
Structure: a DFT-relaxed cell (GGA-PBE, Alexandria)
No peak broadening, texture or thermal motion is included.

Principal peaks in the range 2θ = 5–70°, by angle:
d (Å)	2θ/deg	I (rel.)	hkl
3.017	29.6	19	1 3 0
2.978	30.0	9	0 0 1
2.142	42.2	26	0 6 0
2.126	42.5	25	2 0 0
2.120	42.7	100	1 3 1
1.739	52.6	4	0 6 1
1.730	52.9	4	2 0 1
1.509	61.5	16	2 6 0
1.489	62.4	8	0 0 2
1.346	69.9	5	3 3 0

Cell and atoms:
```
data_AlFe2Rh3
_chemical_formula_sum 'Al2 Fe4 Rh6'
_cell_length_a 4.251
_cell_length_b 12.850
_cell_length_c 2.978
_cell_angle_alpha 90.00
_cell_angle_beta 90.00
_cell_angle_gamma 90.00
_space_group_name_H-M_alt 'C m m m'
_space_group_IT_number 65
_space_group_name_Hall '-C 2 2'
loop_
_atom_site_label
_atom_site_fract_x
_atom_site_fract_y
_atom_site_fract_z
Al1 0.000 0.000 0.000
Fe1 0.000 0.330 0.000
Rh1 0.000 0.163 0.500
Rh2 0.000 0.500 0.500
```

Computed X-ray powder pattern
Compound: Rb2S6I
Radiation: Cu Ka
Structure: a DFT-relaxed cell (GGA-PBE, Alexandria)
No peak broadening, texture or thermal motion is included.

Principal peaks in the range 2θ = 5–70°, by angle:
d (Å)	2θ/deg	I (rel.)	hkl
7.468	11.8	41	0 1 0
4.974	17.8	100	0 1 1
3.646	24.4	64	1 -2 0
3.629	24.5	68	1 0 -2
3.182	28.0	85	0 1 2
3.165	28.2	58	1 -2 1
3.140	28.4	55	1 1 -2
2.877	31.1	59	-2 1 1
2.756	32.5	47	1 -1 2
2.466	36.4	37	-1 3 1

Cell and atoms:
```
data_Rb2S6I
_chemical_formula_sum 'Rb2 S6 I1'
_cell_length_a 5.791
_cell_length_b 7.879
_cell_length_c 7.884
_cell_angle_alpha 91.66
_cell_angle_beta 106.76
_cell_angle_gamma 107.59
_space_group_name_H-M_alt 'P -1'
_space_group_IT_number 2
loop_
_space_group_symop_operation_xyz
'x,y,z'
'-x,-y,-z'
loop_
_atom_site_label
_atom_site_fract_x
_atom_site_fract_y
_atom_site_fract_z
Rb1 0.004 0.204 0.298
S1 0.174 0.329 0.833
S2 0.390 0.527 0.730
S3 0.398 0.229 0.023
I1 0.500 0.000 0.500
```

Computed X-ray powder pattern
Compound: SrUPa2S8
Radiation: Cu Ka
Structure: a DFT-relaxed cell (GGA-PBE, Alexandria)
No peak broadening, texture or thermal motion is included.

Principal peaks in the range 2θ = 5–70°, by angle:
d (Å)	2θ/deg	I (rel.)	hkl
4.525	19.6	100	1 0 -1
4.420	20.1	89	1 0 1
3.508	25.4	65	0 2 1
3.478	25.6	88	1 2 0
3.207	27.8	28	0 0 2
2.373	37.9	38	1 2 -2
2.344	38.4	84	2 2 -1
2.316	38.9	42	2 2 1
1.903	47.8	51	0 2 3
1.862	48.9	22	3 2 0

Cell and atoms:
```
data_SrUPa2S8
_chemical_formula_sum 'Sr1 U1 Pa2 S8'
_cell_length_a 6.239
_cell_length_b 8.380
_cell_length_c 6.416
_cell_angle_alpha 90.00
_cell_angle_beta 91.35
_cell_angle_gamma 90.00
_space_group_name_H-M_alt 'P 1 2/m 1'
_space_group_IT_number 10
loop_
_space_group_symop_operation_xyz
'x,y,z'
'-x,-y,-z'
'-x,y,-z'
'x,-y,z'
loop_
_atom_site_label
_atom_site_fract_x
_atom_site_fract_y
_atom_site_fract_z
Sr1 0.000 0.000 0.000
U1 0.000 0.500 0.000
Pa1 0.500 0.251 0.500
S1 0.242 0.272 0.171
S2 0.281 0.500 0.662
S3 0.287 0.000 0.638
```

Computed X-ray powder pattern
Compound: HoMnSi
Radiation: Cu Ka
Structure: a DFT-relaxed cell (GGA-PBE, Alexandria)
No peak broadening, texture or thermal motion is included.

Principal peaks in the range 2θ = 5–70°, by angle:
d (Å)	2θ/deg	I (rel.)	hkl
3.592	24.8	55	0 1 1
3.468	25.7	33	2 0 0
2.573	34.9	84	1 1 2
2.553	35.2	29	2 0 2
2.495	36.0	100	2 1 1
2.364	38.1	40	1 0 3
2.141	42.2	20	0 1 3
2.042	44.4	33	0 2 0
1.545	59.8	22	1 2 3
1.376	68.1	25	3 1 4

Cell and atoms:
```
data_HoMnSi
_chemical_formula_sum 'Ho4 Mn4 Si4'
_cell_length_a 6.936
_cell_length_b 4.084
_cell_length_c 7.544
_cell_angle_alpha 90.00
_cell_angle_beta 90.00
_cell_angle_gamma 90.00
_space_group_name_H-M_alt 'P n m a'
_space_group_IT_number 62
loop_
_space_group_symop_operation_xyz
'x,y,z'
'-x,-y,-z'
'-x+1/2,-y,z+1/2'
'x+1/2,y,-z+1/2'
'x+1/2,-y+1/2,-z+1/2'
'-x+1/2,y+1/2,z+1/2'
'-x,y+1/2,-z'
'x,-y+1/2,z'
loop_
_atom_site_label
_atom_site_fract_x
_atom_site_fract_y
_atom_site_fract_z
Ho1 0.009 0.250 0.186
Mn1 0.139 0.250 0.560
Si1 0.212 0.750 0.390
```